# 1
# Hf4BP
Computed X-ray diffraction stick pattern, Cu Kα. Input: a crystal structure in Alexandria, relaxed with GGA-PBE.
Peak positions follow from Bragg's law for the DFT cell and can differ from measured ones.

```
data_Hf4BP
_chemical_formula_sum 'Hf16 B4 P4'
_cell_length_a 8.096
_cell_length_b 8.096
_cell_length_c 7.204
_cell_angle_alpha 90.00
_cell_angle_beta 90.00
_cell_angle_gamma 90.00
_symmetry_space_group_name_H-M 'I 41 m d'
_symmetry_Int_Tables_number 109
_symmetry_space_group_name_Hall 'I 4bw -2'
loop_
_atom_site_label
_atom_site_type_symbol
_atom_site_fract_x
_atom_site_fract_y
_atom_site_fract_z
_atom_site_occupancy
Hf1 Hf 0.000 0.195 0.000 1
Hf2 Hf 0.000 0.211 0.464 1
B1 B 0.000 0.000 0.238 1
P1 P 0.000 0.000 0.724 1
```

Main lines, by angle (10 to 90 degrees two-theta):
- hkl 2 2 0, d = 2.862 Å, intensity 44
- hkl 2 0 2, d = 2.691 Å, intensity 100
- hkl 3 1 0, d = 2.560 Å, intensity 31
- hkl 4 0 0, d = 2.024 Å, intensity 15
- hkl 3 3 2, d = 1.686 Å, intensity 20
- hkl 4 2 2, d = 1.618 Å, intensity 19
- hkl 2 2 4, d = 1.524 Å, intensity 11
- hkl 5 1 2, d = 1.453 Å, intensity 12
- hkl 5 3 0, d = 1.388 Å, intensity 13
- hkl 5 3 4, d = 1.100 Å, intensity 10


# 2
# Rb2HfB2S6
Computed X-ray diffraction stick pattern, Cu Kα. Input: a crystal structure in Alexandria, relaxed with GGA-PBE.
Peak positions follow from Bragg's law for the DFT cell and can differ from measured ones.

```
data_Rb2HfB2S6
_chemical_formula_sum 'Rb4 Hf2 B4 S12'
_cell_length_a 11.292
_cell_length_b 6.570
_cell_length_c 8.164
_cell_angle_alpha 90.00
_cell_angle_beta 115.65
_cell_angle_gamma 90.00
_symmetry_space_group_name_H-M 'C 1 2/m 1'
_symmetry_Int_Tables_number 12
_symmetry_space_group_name_Hall '-C 2y'
loop_
_atom_site_label
_atom_site_type_symbol
_atom_site_fract_x
_atom_site_fract_y
_atom_site_fract_z
_atom_site_occupancy
Rb1 Rb 0.202 0.000 0.169 1
Hf1 Hf 0.000 0.000 0.500 1
B1 B 0.079 0.500 0.309 1
S1 S 0.018 0.264 0.742 1
S2 S 0.247 0.000 0.633 1
```

Main lines, by angle (10 to 90 degrees two-theta):
- hkl 0 0 1, d = 7.359 Å, intensity 46
- hkl 1 1 0, d = 5.520 Å, intensity 77
- hkl 1 1 1, d = 3.989 Å, intensity 50
- hkl 2 0 1, d = 3.531 Å, intensity 27
- hkl 1 1 -2, d = 3.459 Å, intensity 100
- hkl 0 2 0, d = 3.285 Å, intensity 26
- hkl 3 1 -1, d = 3.265 Å, intensity 50
- hkl 4 0 -1, d = 2.810 Å, intensity 29
- hkl 2 2 -2, d = 2.509 Å, intensity 57
- hkl 2 2 1, d = 2.405 Å, intensity 26


# 3
# Hf2ReB6
Computed X-ray diffraction stick pattern, Cu Kα. Input: a crystal structure in Alexandria, relaxed with GGA-PBE.
Peak positions follow from Bragg's law for the DFT cell and can differ from measured ones.

```
data_Hf2ReB6
_chemical_formula_sum 'Hf2 Re1 B6'
_cell_length_a 5.3277
_cell_length_b 5.3277
_cell_length_c 3.4823
_cell_angle_alpha 90.00
_cell_angle_beta 90.00
_cell_angle_gamma 120.00
_symmetry_space_group_name_H-M 'P 6/m m m'
_symmetry_Int_Tables_number 191
_symmetry_space_group_name_Hall '-P 6 2'
loop_
_atom_site_label
_atom_site_type_symbol
_atom_site_fract_x
_atom_site_fract_y
_atom_site_fract_z
_atom_site_occupancy
Hf1 Hf 0.3333 0.6667 0.0000 1
Re1 Re 0.0000 0.0000 0.0000 1
B1 B 0.0000 0.3297 0.5000 1
```

Main lines, by angle (10 to 90 degrees two-theta):
- hkl 0 0 1, d = 3.482 Å, intensity 48
- hkl 1 1 0, d = 2.664 Å, intensity 81
- hkl 1 1 1, d = 2.116 Å, intensity 100
- hkl 0 0 2, d = 1.741 Å, intensity 10
- hkl 3 0 0, d = 1.538 Å, intensity 20
- hkl 1 1 2, d = 1.457 Å, intensity 26
- hkl 3 0 1, d = 1.407 Å, intensity 22
- hkl 2 2 0, d = 1.332 Å, intensity 10
- hkl 2 2 1, d = 1.244 Å, intensity 18
- hkl 3 0 2, d = 1.153 Å, intensity 16


# 4
# Tb2HfB2Rh5
Computed X-ray diffraction stick pattern, Cu Kα. Input: a crystal structure in Alexandria, relaxed with GGA-PBE.
Peak positions follow from Bragg's law for the DFT cell and can differ from measured ones.

```
data_Tb2HfB2Rh5
_chemical_formula_sum 'Tb4 Hf2 B4 Rh10'
_cell_length_a 9.680
_cell_length_b 9.680
_cell_length_c 3.255
_cell_angle_alpha 90.00
_cell_angle_beta 90.00
_cell_angle_gamma 90.00
_symmetry_space_group_name_H-M 'P 4/m b m'
_symmetry_Int_Tables_number 127
_symmetry_space_group_name_Hall '-P 4 2ab'
loop_
_atom_site_label
_atom_site_type_symbol
_atom_site_fract_x
_atom_site_fract_y
_atom_site_fract_z
_atom_site_occupancy
Tb1 Tb 0.175 0.325 0.000 1
Hf1 Hf 0.000 0.000 0.000 1
B1 B 0.119 0.619 0.000 1
Rh1 Rh 0.000 0.500 0.500 1
Rh2 Rh 0.071 0.776 0.500 1
```

Main lines, by angle (10 to 90 degrees two-theta):
- hkl 2 1 1, d = 2.601 Å, intensity 72
- hkl 2 2 1, d = 2.358 Å, intensity 42
- hkl 4 1 0, d = 2.348 Å, intensity 62
- hkl 3 1 1, d = 2.230 Å, intensity 100
- hkl 4 2 0, d = 2.165 Å, intensity 41
- hkl 3 2 1, d = 2.071 Å, intensity 21
- hkl 0 0 2, d = 1.627 Å, intensity 19
- hkl 5 3 1, d = 1.479 Å, intensity 17
- hkl 6 0 1, d = 1.445 Å, intensity 22
- hkl 4 1 2, d = 1.337 Å, intensity 20